Entry 1:
Structure and computed X-ray powder pattern of Pm2ReC2 (a crystal structure in Alexandria, relaxed with PBE; Cu Kα (weighted mean of Kα1 and Kα2)).
Peak positions follow from Bragg's law for the DFT cell and can differ from measured ones.

Crystal structure
```
data_Pm2ReC2
_symmetry_space_group_name_H-M 'P n m a'
_symmetry_Int_Tables_number 62
_cell_length_a 6.6952
_cell_length_b 5.3116
_cell_length_c 10.1395
_cell_angle_alpha 90.00
_cell_angle_beta 90.00
_cell_angle_gamma 90.00
loop_
_symmetry_equiv_pos_as_xyz
'x,y,z'
'-x,-y,-z'
'-x+1/2,-y,z+1/2'
'x+1/2,y,-z+1/2'
'x+1/2,-y+1/2,-z+1/2'
'-x+1/2,y+1/2,z+1/2'
'-x,y+1/2,-z'
'x,-y+1/2,z'
loop_
_atom_site_label
_atom_site_fract_x
_atom_site_fract_y
_atom_site_fract_z
Pm1 0.0274 0.2500 0.2139
Pm2 0.1859 0.2500 0.5517
Re1 0.2278 0.2500 0.8595
C1 0.0370 0.7500 0.2415
C2 0.1851 0.7500 0.5400
```

Main lines, low angle first (2θ = 5–70°):
d_spacing	Rel. int.	(hkl)
3.017	176	1 0 3
2.851	612	0 1 3
2.832	242	2 1 0
2.794	221	2 0 2
2.728	1000	2 1 1
2.656	680	0 2 0
2.623	629	1 1 3
1.925	145	2 2 2
1.597	178	3 1 4
1.547	185	2 3 1

Entry 2:
Structure and computed X-ray powder pattern of Pr4DyHo5 (a crystal structure in Alexandria, relaxed with PBE; Cu Kα (weighted mean of Kα1 and Kα2)).
Peak positions follow from Bragg's law for the DFT cell and can differ from measured ones.

Crystal structure
```
data_Pr4DyHo5
_symmetry_space_group_name_H-M 'P -1'
_symmetry_Int_Tables_number 2
_cell_length_a 3.5375
_cell_length_b 8.7766
_cell_length_c 11.3538
_cell_angle_alpha 90.03
_cell_angle_beta 90.00
_cell_angle_gamma 101.61
loop_
_symmetry_equiv_pos_as_xyz
'x,y,z'
'-x,-y,-z'
loop_
_atom_site_label
_atom_site_fract_x
_atom_site_fract_y
_atom_site_fract_z
Pr1 0.0333 0.0656 0.2498
Pr2 0.3425 0.6818 0.2499
Dy1 0.5000 0.0000 0.5000
Ho1 0.1724 0.3459 0.0479
Ho2 0.1725 0.3462 0.4518
Ho3 0.5000 0.0000 0.0000
```

Main lines, low angle first (2θ = 5–70°):
d_spacing	Rel. int.	(hkl)
3.464	178	0 1 -3
3.314	211	-1 1 1
2.866	286	0 3 0
2.840	461	0 0 4
2.660	1000	-1 2 2
2.017	115	0 3 4
1.899	152	1 -1 5
1.612	119	-1 5 2
1.508	114	-1 4 5
1.501	157	2 -1 4

Entry 3:
Structure and computed X-ray powder pattern of LiFe3Rh4 (a crystal structure in Alexandria, relaxed with PBE; Cu Kα (weighted mean of Kα1 and Kα2)).
Peak positions follow from Bragg's law for the DFT cell and can differ from measured ones.

Crystal structure
```
data_LiFe3Rh4
_symmetry_space_group_name_H-M 'P m m m'
_symmetry_Int_Tables_number 47
_cell_length_a 2.9949
_cell_length_b 4.2531
_cell_length_c 8.4434
_cell_angle_alpha 90.00
_cell_angle_beta 90.00
_cell_angle_gamma 90.00
loop_
_symmetry_equiv_pos_as_xyz
'x,y,z'
'-x,-y,-z'
'-x,-y,z'
'x,y,-z'
'x,-y,-z'
'-x,y,z'
'-x,y,-z'
'x,-y,z'
loop_
_atom_site_label
_atom_site_fract_x
_atom_site_fract_y
_atom_site_fract_z
Li1 0.0000 0.0000 0.0000
Fe1 0.0000 0.0000 0.5000
Fe2 0.0000 0.5000 0.2430
Rh1 0.5000 0.0000 0.2547
Rh2 0.5000 0.5000 0.0000
Rh3 0.5000 0.5000 0.5000
```

Main lines, low angle first (2θ = 5–70°):
d_spacing	Rel. int.	(hkl)
8.443	66	0 0 1
4.253	14	0 1 0
3.798	30	0 1 1
2.996	320	1 0 0
2.127	254	0 2 0
2.118	1000	1 1 2
2.111	245	0 0 4
1.734	44	1 2 0
1.725	44	1 0 4
1.498	237	2 0 0

Entry 4:
Structure and computed X-ray powder pattern of AcSb6O12 (a crystal structure in Alexandria, relaxed with PBE; Cu Kα (weighted mean of Kα1 and Kα2)).
Peak positions follow from Bragg's law for the DFT cell and can differ from measured ones.

Crystal structure
```
data_AcSb6O12
_symmetry_space_group_name_H-M 'R -3 m'
_symmetry_Int_Tables_number 166
_symmetry_space_group_name_Hall '-R 3 2"'
_cell_length_a 11.5565
_cell_length_b 11.5565
_cell_length_c 8.7720
_cell_angle_alpha 90.00
_cell_angle_beta 90.00
_cell_angle_gamma 120.00
loop_
_atom_site_label
_atom_site_fract_x
_atom_site_fract_y
_atom_site_fract_z
Ac1 0.0000 0.0000 0.0000
Sb1 0.1094 0.5547 0.3630
O1 0.0000 0.3921 0.5000
O2 0.0789 0.1578 0.2285
```

Main lines, low angle first (2θ = 5–70°):
d_spacing	Rel. int.	(hkl)
6.597	207	1 0 1
5.778	199	1 1 0
3.474	1000	2 1 1
2.924	146	0 0 3
2.865	727	1 2 2
2.406	152	4 0 1
2.173	173	0 4 2
1.926	259	3 3 0
1.821	132	5 0 2
1.608	208	3 3 3

Entry 5:
Structure and computed X-ray powder pattern of Ac4Ir2Br (a crystal structure in Alexandria, relaxed with PBE; Cu Kα (weighted mean of Kα1 and Kα2)).
Peak positions follow from Bragg's law for the DFT cell and can differ from measured ones.

Crystal structure
```
data_Ac4Ir2Br
_symmetry_space_group_name_H-M 'R -3 m'
_symmetry_Int_Tables_number 166
_symmetry_space_group_name_Hall '-R 3 2"'
_cell_length_a 4.3928
_cell_length_b 4.3928
_cell_length_c 45.7134
_cell_angle_alpha 90.00
_cell_angle_beta 90.00
_cell_angle_gamma 120.00
loop_
_atom_site_label
_atom_site_fract_x
_atom_site_fract_y
_atom_site_fract_z
Ac1 0.0000 0.0000 0.1238
Ac2 0.0000 0.0000 0.2780
Ir1 0.0000 0.0000 0.4234
Br1 0.0000 0.0000 0.0000
```

Main lines, low angle first (2θ = 5–70°):
d_spacing	Rel. int.	(hkl)
7.619	459	0 0 6
3.287	1000	1 0 7
2.582	369	1 0 13
2.478	180	0 1 14
2.196	509	1 1 0
2.110	121	1 1 6
1.959	229	0 1 20
1.826	198	0 2 7
1.673	103	0 2 13
1.404	167	2 1 7

Entry 6:
Structure and computed X-ray powder pattern of CePu2Ge6 (a crystal structure in Alexandria, relaxed with PBE; Cu Kα (weighted mean of Kα1 and Kα2)).
Peak positions follow from Bragg's law for the DFT cell and can differ from measured ones.

Crystal structure
```
data_CePu2Ge6
_symmetry_space_group_name_H-M 'P 6/m m m'
_symmetry_Int_Tables_number 191
_symmetry_space_group_name_Hall '-P 6 2'
_cell_length_a 7.5813
_cell_length_b 7.5813
_cell_length_c 3.9315
_cell_angle_alpha 90.00
_cell_angle_beta 90.00
_cell_angle_gamma 120.00
loop_
_atom_site_label
_atom_site_fract_x
_atom_site_fract_y
_atom_site_fract_z
Ce1 0.0000 0.0000 0.0000
Pu1 0.3333 0.6667 0.0000
Ge1 0.0000 0.3339 0.5000
```

Main lines, low angle first (2θ = 5–70°):
d_spacing	Rel. int.	(hkl)
6.566	48	1 0 0
3.791	236	1 1 0
2.729	1000	1 1 1
2.189	434	3 0 0
1.966	105	0 0 2
1.895	37	2 2 0
1.745	58	1 1 2
1.707	251	2 2 1
1.462	242	3 0 2
1.346	230	4 1 1